Entry 1:
Computed XRD peak list
Compound: Pu2Tl3NiO9
Radiation: copper Kα
Structure: the PBE+U geometry in Alexandria

Atomic structure:
```
data_Pu2Tl3NiO9
_space_group_name_H-M_alt 'P -3 m 1'
_space_group_IT_number 164
_space_group_name_Hall '-P 3 2"'
_cell_length_a 5.9563
_cell_length_b 5.9563
_cell_length_c 7.3291
_cell_angle_alpha 90.00
_cell_angle_beta 90.00
_cell_angle_gamma 120.00
loop_
_atom_site_label
_atom_site_type_symbol
_atom_site_fract_x
_atom_site_fract_y
_atom_site_fract_z
Pu1 Pu 0.3333 0.6667 0.1737
Tl1 Tl 0.0000 0.0000 0.0000
Tl2 Tl 0.3333 0.6667 0.6552
Ni1 Ni 0.0000 0.0000 0.5000
O1 O 0.0000 0.5000 0.0000
O2 O 0.1720 0.3439 0.3269
```

Top 8 peaks for 10° ≤ 2θ ≤ 80°, by angle:
(hkl), 2θ (°), d [Å], intensity
1 1 0, 29.96, 2.983, 100
2 0 2, 42.88, 2.109, 27
1 0 4, 53.04, 1.727, 10
3 0 0, 53.24, 1.721, 32
0 2 4, 62.14, 1.494, 8
2 2 0, 62.36, 1.489, 9
2 1 4, 70.53, 1.335, 9
3 1 2, 70.69, 1.333, 9

---

Entry 2:
Computed XRD peak list
Compound: YPuNi2O6
Radiation: copper Kα
Structure: the PBE+U geometry in Alexandria

Atomic structure:
```
data_YPuNi2O6
_space_group_name_H-M_alt 'R 3'
_space_group_IT_number 146
_space_group_name_Hall 'R 3'
_cell_length_a 5.4315
_cell_length_b 5.4315
_cell_length_c 14.7008
_cell_angle_alpha 90.00
_cell_angle_beta 90.00
_cell_angle_gamma 120.00
loop_
_atom_site_label
_atom_site_type_symbol
_atom_site_fract_x
_atom_site_fract_y
_atom_site_fract_z
Y1 Y 0.0000 0.0000 0.0000
Pu1 Pu 0.0000 0.0000 0.4905
Ni1 Ni 0.0000 0.0000 0.2867
Ni2 Ni 0.0000 0.0000 0.7948
O1 O 0.0132 0.3162 0.8898
O2 O 0.0233 0.6351 0.0600
```

Top 8 peaks for 10° ≤ 2θ ≤ 80°, by angle:
(hkl), 2θ (°), d [Å], intensity
1 0 1, 19.82, 4.480, 40
0 1 2, 22.44, 3.962, 80
1 0 4, 30.88, 2.896, 100
1 1 0, 32.98, 2.716, 97
0 2 4, 45.80, 1.981, 38
2 -1 6, 50.15, 1.819, 60
3 -1 4, 57.59, 1.600, 37
3 0 0, 58.91, 1.568, 32

---

Entry 3:
Computed XRD peak list
Compound: Rb2NiO2
Radiation: copper Kα
Structure: the PBE+U geometry in Alexandria

Atomic structure:
```
data_Rb2NiO2
_space_group_name_H-M_alt 'P n m a'
_space_group_IT_number 62
_cell_length_a 9.497
_cell_length_b 4.417
_cell_length_c 12.277
_cell_angle_alpha 90.00
_cell_angle_beta 90.00
_cell_angle_gamma 90.00
loop_
_space_group_symop_operation_xyz
'x,y,z'
'-x,-y,-z'
'-x+1/2,-y,z+1/2'
'x+1/2,y,-z+1/2'
'x+1/2,-y+1/2,-z+1/2'
'-x+1/2,y+1/2,z+1/2'
'-x,y+1/2,-z'
'x,-y+1/2,z'
loop_
_atom_site_label
_atom_site_type_symbol
_atom_site_fract_x
_atom_site_fract_y
_atom_site_fract_z
Rb1 Rb 0.021 0.250 0.138
Rb2 Rb 0.188 0.750 0.391
Ni1 Ni 0.182 0.250 0.624
O1 O 0.074 0.250 0.736
O2 O 0.207 0.750 0.014
```

Top 8 peaks for 10° ≤ 2θ ≤ 80°, by angle:
(hkl), 2θ (°), d [Å], intensity
1 1 2, 26.57, 3.354, 100
2 1 1, 28.54, 3.127, 59
0 0 4, 29.11, 3.067, 74
2 1 3, 35.37, 2.537, 44
3 0 3, 35.86, 2.504, 27
0 2 0, 40.86, 2.209, 26
0 2 4, 50.95, 1.792, 31
5 1 2, 54.69, 1.678, 23

---

Entry 4:
Computed XRD peak list
Compound: RbRe2NiO8
Radiation: copper Kα
Structure: the PBE+U geometry in Alexandria

Atomic structure:
```
data_RbRe2NiO8
_space_group_name_H-M_alt 'C 1 2/m 1'
_space_group_IT_number 12
_cell_length_a 9.218
_cell_length_b 5.831
_cell_length_c 8.241
_cell_angle_alpha 90.00
_cell_angle_beta 94.94
_cell_angle_gamma 90.00
loop_
_space_group_symop_operation_xyz
'x,y,z'
'-x,-y,-z'
'-x,y,-z'
'x,-y,z'
'x+1/2,y+1/2,z'
'-x+1/2,-y+1/2,-z'
'-x+1/2,y+1/2,-z'
'x+1/2,-y+1/2,z'
loop_
_atom_site_label
_atom_site_type_symbol
_atom_site_fract_x
_atom_site_fract_y
_atom_site_fract_z
Rb1 Rb 0.000 0.000 0.000
Re1 Re 0.129 0.500 0.296
Ni1 Ni 0.000 0.000 0.500
O1 O 0.021 0.250 0.321
O2 O 0.190 0.500 0.099
O3 O 0.219 0.000 0.558
```

Top 8 peaks for 10° ≤ 2θ ≤ 80°, by angle:
(hkl), 2θ (°), d [Å], intensity
1 1 -1, 20.61, 4.311, 36
2 0 -1, 21.34, 4.163, 55
1 1 1, 21.47, 4.138, 96
2 0 1, 22.99, 3.868, 43
1 1 -2, 27.64, 3.227, 100
0 2 0, 30.67, 2.915, 41
3 1 0, 33.05, 2.710, 49
2 2 -1, 37.67, 2.388, 29

---

Entry 5:
Computed XRD peak list
Compound: Rb5Si2NiO8
Radiation: copper Kα
Structure: the PBE+U geometry in Alexandria

Atomic structure:
```
data_Rb5Si2NiO8
_space_group_name_H-M_alt 'C 1 2/c 1'
_space_group_IT_number 15
_cell_length_a 8.394
_cell_length_b 10.861
_cell_length_c 13.940
_cell_angle_alpha 90.00
_cell_angle_beta 94.44
_cell_angle_gamma 90.00
loop_
_space_group_symop_operation_xyz
'x,y,z'
'-x,-y,-z'
'-x,y,-z+1/2'
'x,-y,z+1/2'
'x+1/2,y+1/2,z'
'-x+1/2,-y+1/2,-z'
'-x+1/2,y+1/2,-z+1/2'
'x+1/2,-y+1/2,z+1/2'
loop_
_atom_site_label
_atom_site_type_symbol
_atom_site_fract_x
_atom_site_fract_y
_atom_site_fract_z
Rb1 Rb 0.000 0.133 0.250
Rb2 Rb 0.094 0.336 0.601
Rb3 Rb 0.219 0.350 0.161
Si1 Si 0.246 0.468 0.384
Ni1 Ni 0.000 0.000 0.000
O1 O 0.053 0.068 0.618
O2 O 0.137 0.345 0.375
O3 O 0.201 0.423 0.807
O4 O 0.224 0.021 0.002
```

Top 8 peaks for 10° ≤ 2θ ≤ 80°, by angle:
(hkl), 2θ (°), d [Å], intensity
2 0 -2, 23.96, 3.714, 24
1 1 3, 24.10, 3.693, 62
1 3 0, 26.83, 3.323, 28
2 2 1, 28.05, 3.181, 61
1 1 -4, 28.26, 3.158, 29
1 3 -2, 29.44, 3.034, 100
3 1 0, 33.16, 2.702, 22
0 2 5, 36.31, 2.474, 23

---

Entry 6:
Computed XRD peak list
Compound: Rb3V2NiO8
Radiation: copper Kα
Structure: the PBE+U geometry in Alexandria

Atomic structure:
```
data_Rb3V2NiO8
_space_group_name_H-M_alt 'P -3 m 1'
_space_group_IT_number 164
_space_group_name_Hall '-P 3 2"'
_cell_length_a 5.8764
_cell_length_b 5.8764
_cell_length_c 7.8655
_cell_angle_alpha 90.00
_cell_angle_beta 90.00
_cell_angle_gamma 120.00
loop_
_atom_site_label
_atom_site_type_symbol
_atom_site_fract_x
_atom_site_fract_y
_atom_site_fract_z
Rb1 Rb 0.0000 0.0000 0.0000
Rb2 Rb 0.3333 0.6667 0.7040
V1 V 0.3333 0.6667 0.2751
Ni1 Ni 0.0000 0.0000 0.5000
O1 O 0.1695 0.3390 0.3454
O2 O 0.3333 0.6667 0.0578
```

Top 8 peaks for 10° ≤ 2θ ≤ 80°, by angle:
(hkl), 2θ (°), d [Å], intensity
0 1 2, 28.69, 3.112, 86
1 1 0, 30.42, 2.938, 100
0 0 3, 34.20, 2.622, 13
2 0 2, 42.31, 2.136, 43
1 2 2, 53.00, 1.728, 29
3 0 0, 54.06, 1.696, 18
1 1 4, 56.30, 1.634, 19
2 2 0, 63.30, 1.469, 18

---

Entry 7:
Computed XRD peak list
Compound: Sr2ReNiO6
Radiation: copper Kα
Structure: the PBE+U geometry in Alexandria

Atomic structure:
```
data_Sr2ReNiO6
_space_group_name_H-M_alt 'P -1'
_space_group_IT_number 2
_cell_length_a 5.593
_cell_length_b 5.594
_cell_length_c 5.641
_cell_angle_alpha 60.29
_cell_angle_beta 60.29
_cell_angle_gamma 89.99
loop_
_space_group_symop_operation_xyz
'x,y,z'
'-x,-y,-z'
loop_
_atom_site_label
_atom_site_type_symbol
_atom_site_fract_x
_atom_site_fract_y
_atom_site_fract_z
Sr1 Sr 0.250 0.250 0.000
Re1 Re 0.000 0.500 0.500
Ni1 Ni 0.500 0.000 0.500
O1 O 0.204 0.780 0.499
O2 O 0.241 0.742 0.016
O3 O 0.280 0.297 0.498
```

Top 8 peaks for 10° ≤ 2θ ≤ 80°, by angle:
(hkl), 2θ (°), d [Å], intensity
1 0 0, 19.33, 4.593, 33
1 1 2, 31.72, 2.821, 100
2 0 1, 32.00, 2.797, 52
0 0 2, 45.06, 2.012, 17
2 2 2, 45.89, 1.978, 30
0 2 -1, 56.33, 1.633, 21
1 3 3, 56.86, 1.619, 41
2 2 4, 66.27, 1.410, 19

---

Entry 8:
Computed XRD peak list
Compound: Ni5Rh3O12
Radiation: copper Kα
Structure: the PBE+U geometry in Alexandria

Atomic structure:
```
data_Ni5Rh3O12
_space_group_name_H-M_alt 'P -6 2 m'
_space_group_IT_number 189
_space_group_name_Hall 'P -6 -2'
_cell_length_a 9.0089
_cell_length_b 9.0089
_cell_length_c 2.9952
_cell_angle_alpha 90.00
_cell_angle_beta 90.00
_cell_angle_gamma 120.00
loop_
_atom_site_label
_atom_site_type_symbol
_atom_site_fract_x
_atom_site_fract_y
_atom_site_fract_z
Ni1 Ni 0.0000 0.6554 0.0000
Ni2 Ni 0.3333 0.6667 0.0000
Rh1 Rh 0.0000 0.3020 0.5000
O1 O 0.0000 0.1648 0.0000
O2 O 0.0000 0.4413 0.0000
O3 O 0.1884 0.7389 0.5000
```

Top 8 peaks for 10° ≤ 2θ ≤ 80°, by angle:
(hkl), 2θ (°), d [Å], intensity
1 1 0, 19.71, 4.504, 41
2 1 0, 30.31, 2.949, 22
3 0 0, 34.49, 2.601, 99
1 1 1, 36.01, 2.494, 100
2 2 1, 50.72, 1.800, 54
3 3 0, 61.79, 1.501, 17
4 1 1, 62.78, 1.480, 36
3 0 2, 72.89, 1.298, 21

---

Entry 9:
Computed XRD peak list
Compound: SrNi2Rh2O7
Radiation: copper Kα
Structure: the PBE+U geometry in Alexandria

Atomic structure:
```
data_SrNi2Rh2O7
_space_group_name_H-M_alt 'I m m 2'
_space_group_IT_number 44
_cell_length_a 4.053
_cell_length_b 16.943
_cell_length_c 4.047
_cell_angle_alpha 90.00
_cell_angle_beta 90.00
_cell_angle_gamma 90.00
loop_
_space_group_symop_operation_xyz
'x,y,z'
'-x,-y,z'
'-x,y,z'
'x,-y,z'
'x+1/2,y+1/2,z+1/2'
'-x+1/2,-y+1/2,z+1/2'
'-x+1/2,y+1/2,z+1/2'
'x+1/2,-y+1/2,z+1/2'
loop_
_atom_site_label
_atom_site_type_symbol
_atom_site_fract_x
_atom_site_fract_y
_atom_site_fract_z
Sr1 Sr 0.000 0.000 0.000
Ni1 Ni 0.000 0.248 0.480
Rh1 Rh 0.000 0.386 0.999
O1 O 0.000 0.119 0.462
O2 O 0.000 0.265 0.980
O3 O 0.000 0.371 0.491
O4 O 0.000 0.500 0.117
```

Top 8 peaks for 10° ≤ 2θ ≤ 80°, by angle:
(hkl), 2θ (°), d [Å], intensity
0 1 1, 22.57, 3.939, 34
0 3 1, 27.09, 3.291, 100
1 2 1, 33.02, 2.713, 79
0 5 1, 34.51, 2.599, 85
0 8 0, 42.69, 2.118, 45
2 0 0, 44.76, 2.025, 89
1 5 2, 57.72, 1.597, 42
2 8 0, 63.57, 1.464, 48

---

Entry 10:
Computed XRD peak list
Compound: TaNiRhO6
Radiation: copper Kα
Structure: the PBE+U geometry in Alexandria

Atomic structure:
```
data_TaNiRhO6
_space_group_name_H-M_alt 'P 42 n m'
_space_group_IT_number 102
_cell_length_a 4.691
_cell_length_b 4.691
_cell_length_c 9.189
_cell_angle_alpha 90.00
_cell_angle_beta 90.00
_cell_angle_gamma 90.00
loop_
_space_group_symop_operation_xyz
'x,y,z'
'-y+1/2,x+1/2,z+1/2'
'-x,-y,z'
'y+1/2,-x+1/2,z+1/2'
'-x+1/2,y+1/2,z+1/2'
'y,x,z'
'x+1/2,-y+1/2,z+1/2'
'-y,-x,z'
loop_
_atom_site_label
_atom_site_type_symbol
_atom_site_fract_x
_atom_site_fract_y
_atom_site_fract_z
Ta1 Ta 0.000 0.000 0.000
Ni1 Ni 0.000 0.000 0.331
Rh1 Rh 0.000 0.000 0.666
O1 O 0.193 0.193 0.833
O2 O 0.198 0.198 0.504
O3 O 0.205 0.205 0.158
```

Top 8 peaks for 10° ≤ 2θ ≤ 80°, by angle:
(hkl), 2θ (°), d [Å], intensity
1 0 1, 21.27, 4.178, 26
1 1 0, 26.88, 3.317, 100
1 0 3, 34.99, 2.565, 78
2 0 0, 38.38, 2.345, 22
2 1 3, 52.90, 1.731, 64
2 2 0, 55.40, 1.658, 16
3 1 0, 62.62, 1.483, 15
3 0 3, 67.22, 1.393, 19

---

Entry 11:
Computed XRD peak list
Compound: TaNi2RhO6
Radiation: copper Kα
Structure: the PBE+U geometry in Alexandria

Atomic structure:
```
data_TaNi2RhO6
_space_group_name_H-M_alt 'P 4 m m'
_space_group_IT_number 99
_cell_length_a 5.814
_cell_length_b 5.814
_cell_length_c 3.888
_cell_angle_alpha 90.00
_cell_angle_beta 90.00
_cell_angle_gamma 90.00
loop_
_space_group_symop_operation_xyz
'x,y,z'
'-y,x,z'
'-x,-y,z'
'y,-x,z'
'-x,y,z'
'y,x,z'
'x,-y,z'
'-y,-x,z'
loop_
_atom_site_label
_atom_site_type_symbol
_atom_site_fract_x
_atom_site_fract_y
_atom_site_fract_z
Ta1 Ta 0.000 0.000 0.000
Ni1 Ni 0.000 0.500 0.004
Rh1 Rh 0.500 0.500 0.001
O1 O 0.000 0.000 0.501
O2 O 0.245 0.245 0.001
O3 O 0.500 0.500 0.501
```

Top 8 peaks for 10° ≤ 2θ ≤ 80°, by angle:
(hkl), 2θ (°), d [Å], intensity
1 1 0, 21.62, 4.111, 40
0 0 1, 22.87, 3.888, 100
2 0 0, 30.76, 2.907, 67
2 0 1, 38.67, 2.328, 50
2 2 0, 44.05, 2.056, 44
2 2 1, 50.20, 1.817, 46
2 0 2, 56.99, 1.616, 24
2 2 2, 66.16, 1.412, 24

---

Entry 12:
Computed XRD peak list
Compound: TiNi2RhO6
Radiation: copper Kα
Structure: the PBE+U geometry in Alexandria

Atomic structure:
```
data_TiNi2RhO6
_space_group_name_H-M_alt 'P 4 m m'
_space_group_IT_number 99
_cell_length_a 5.656
_cell_length_b 5.656
_cell_length_c 3.918
_cell_angle_alpha 90.00
_cell_angle_beta 90.00
_cell_angle_gamma 90.00
loop_
_space_group_symop_operation_xyz
'x,y,z'
'-y,x,z'
'-x,-y,z'
'y,-x,z'
'-x,y,z'
'y,x,z'
'x,-y,z'
'-y,-x,z'
loop_
_atom_site_label
_atom_site_type_symbol
_atom_site_fract_x
_atom_site_fract_y
_atom_site_fract_z
Ti1 Ti 0.000 0.000 0.000
Ni1 Ni 0.000 0.500 0.209
Rh1 Rh 0.500 0.500 0.058
O1 O 0.000 0.000 0.564
O2 O 0.247 0.247 0.097
O3 O 0.500 0.500 0.565
```

Top 8 peaks for 10° ≤ 2θ ≤ 80°, by angle:
(hkl), 2θ (°), d [Å], intensity
0 0 1, 22.69, 3.918, 100
2 0 0, 31.64, 2.828, 67
1 1 1, 31.98, 2.799, 36
2 0 1, 39.29, 2.293, 26
2 2 0, 45.35, 2.000, 54
2 2 1, 51.29, 1.781, 39
1 1 2, 51.97, 1.759, 34
3 1 2, 71.41, 1.321, 24